# 1
Starting from a cell relaxed with PBE, the X-ray powder pattern of Na7Bi2Pb2 was simulated for Cu Kα (weighted mean of Kα1 and Kα2).
Intensities are scaled so that the largest is 100.

Atomic structure:
```
Na7Bi2Pb2
1.0
-1.8569 8.4699 5.6424
1.8569 -8.4699 5.6424
1.8569 8.4699 -5.6424
Na Bi Pb
7 2 2
Direct
0.0000 0.0000 0.0000
0.0364 0.6991 0.3373
0.3107 0.4708 0.8400
0.3618 0.6991 0.6627
0.6059 0.2424 0.3635
0.6308 0.4708 0.1600
0.8789 0.2424 0.6365
0.1461 0.9597 0.1864
0.7733 0.9597 0.8136
0.3001 0.3001 0.0000
0.5358 0.0358 0.5000
```

The 8 most intense peaks (2θ = 10–80°), most intense first:
2θ/deg, I (rel.)
17.6, 100.0
32.9, 72.2
31.7, 32.8
25.2, 30.5
15.7, 29.7
33.9, 26.1
27.4, 22.9
33.5, 22.6

# 2
Starting from a cell relaxed with PBE, the X-ray powder pattern of Ac2CoAs4Pd3 was simulated for Cu Kα (weighted mean of Kα1 and Kα2).
Intensities are scaled so that the largest is 100.

Atomic structure:
```
Ac2CoAs4Pd3
1.0
4.4756 0.0000 0.0000
0.0000 4.4756 0.0000
0.0000 0.0000 10.1254
Ac Co As Pd
2 1 4 3
Direct
0.0000 0.5000 0.2468
0.5000 0.0000 0.7532
0.5000 0.5000 0.0000
0.0000 0.0000 0.5000
0.0000 0.5000 0.8755
0.5000 0.0000 0.1245
0.5000 0.5000 0.5000
0.0000 0.0000 0.0000
0.0000 0.5000 0.6221
0.5000 0.0000 0.3779
```

The 8 most intense peaks (2θ = 10–80°), most intense first:
2θ/deg, I (rel.)
33.4, 100.0
33.2, 89.8
40.3, 67.5
53.2, 47.9
68.9, 35.8
28.2, 31.8
49.4, 27.6
65.6, 23.7

# 3
Starting from a cell relaxed with PBE, the X-ray powder pattern of LiHf8N8O4 was simulated for Cu Kα (weighted mean of Kα1 and Kα2).
Intensities are scaled so that the largest is 100.

Atomic structure:
```
LiHf8N8O4
1.0
5.7741 0.0000 0.0000
-2.6502 5.1873 0.0000
-0.0669 -0.1953 9.1142
Li Hf N O
1 8 8 4
Direct
0.0000 0.0000 0.0000
0.0078 0.3749 0.2675
0.3165 0.6681 0.9548
0.3207 0.9970 0.6810
0.3481 0.0466 0.3227
0.5904 0.6399 0.5886
0.6399 0.6677 0.2433
0.6619 0.3380 0.9510
0.9501 0.3149 0.5866
0.2803 0.6175 0.7173
0.3066 0.7131 0.1964
0.3206 0.3834 0.4311
0.3229 0.0126 0.9113
0.5633 0.9765 0.4886
0.6270 0.3055 0.1947
0.6616 0.6792 0.0061
0.6644 0.3629 0.7150
0.9130 0.5907 0.4337
0.9651 0.9824 0.6555
0.9833 0.0039 0.2338
0.9990 0.3276 0.9991
```

The 8 most intense peaks (2θ = 10–80°), most intense first:
2θ/deg, I (rel.)
29.4, 100.0
30.7, 63.1
31.0, 62.1
29.5, 59.9
32.5, 55.4
34.6, 54.7
31.3, 45.5
32.6, 39.5

# 4
Starting from a cell relaxed with PBE, the X-ray powder pattern of Ba2CuCl6 was simulated for Cu Kα (weighted mean of Kα1 and Kα2).
Intensities are scaled so that the largest is 100.

Atomic structure:
```
Ba2CuCl6
1.0
6.5007 0.0000 0.0000
0.0000 8.4993 0.0000
-6.2838 0.0000 9.5237
Ba Cu Cl
4 2 12
Direct
0.2109 0.1186 0.2655
0.2109 0.3814 0.7655
0.7891 0.6186 0.2345
0.7891 0.8814 0.7345
0.5000 0.0000 0.0000
0.5000 0.5000 0.5000
0.1549 0.1379 0.9598
0.1549 0.3621 0.4598
0.2746 0.6791 0.9443
0.2746 0.8209 0.4443
0.3532 0.0176 0.7660
0.3532 0.4824 0.2660
0.6468 0.5176 0.7340
0.6468 0.9824 0.2340
0.7254 0.1791 0.5557
0.7254 0.3209 0.0557
0.8451 0.6379 0.5402
0.8451 0.8621 0.0402
```

The 8 most intense peaks (2θ = 10–80°), most intense first:
2θ/deg, I (rel.)
16.7, 100.0
22.9, 100.0
34.5, 92.7
19.4, 89.9
35.3, 86.3
19.7, 83.1
30.7, 66.3
37.8, 60.5

# 5
Starting from a cell relaxed with PBE, the X-ray powder pattern of Zr4Tc3Au was simulated for Cu Kα (weighted mean of Kα1 and Kα2).
Intensities are scaled so that the largest is 100.

Atomic structure:
```
Zr4Tc3Au
1.0
3.3662 0.0000 0.0000
0.0000 4.7264 0.0000
0.0000 0.0000 9.2570
Zr Tc Au
4 3 1
Direct
0.0000 0.0000 0.0000
0.0000 0.0000 0.5000
0.0000 0.5000 0.2375
0.0000 0.5000 0.7625
0.5000 0.0000 0.2539
0.5000 0.0000 0.7461
0.5000 0.5000 0.0000
0.5000 0.5000 0.5000
```

The 8 most intense peaks (2θ = 10–80°), most intense first:
2θ/deg, I (rel.)
38.1, 100.0
38.9, 18.5
68.9, 13.6
55.6, 13.1
70.0, 12.4
54.5, 7.0
68.4, 7.0
69.0, 6.7

# 6
Starting from a cell relaxed with PBE, the X-ray powder pattern of Pm4Pr3Y3 was simulated for Cu Kα (weighted mean of Kα1 and Kα2).
Intensities are scaled so that the largest is 100.

Atomic structure:
```
Pm4Pr3Y3
1.0
3.8076 0.0000 0.0000
0.0000 6.7174 6.7875
0.0000 -6.7174 6.7875
Pm Pr Y
4 3 3
Direct
0.0000 0.0000 0.0000
0.0000 0.2608 0.2608
0.0000 0.5026 0.7605
0.0000 0.7605 0.5026
0.5000 0.3005 0.9597
0.5000 0.4600 0.4600
0.5000 0.9597 0.3005
0.0000 0.1249 0.6332
0.0000 0.6332 0.1249
0.5000 0.8014 0.8014
```

The 8 most intense peaks (2θ = 10–80°), most intense first:
2θ/deg, I (rel.)
31.5, 100.0
31.4, 96.2
29.5, 48.6
29.7, 47.9
57.1, 34.1
30.0, 31.3
47.8, 19.5
13.0, 18.5